Simulated powder XRD pattern
Compound: Na3Tl3CrO8
Radiation: Cu Kα
Structure: DFT lattice parameters and positions (GGA+U)

Top 6 peaks for 15 to 90 degrees two-theta, sorted by position:
15.9 deg, I 100, hkl 0 0 1
31.5 deg, I 49, hkl 2 2 -1
32.9 deg, I 49, hkl 4 0 -2
38.0 deg, I 65, hkl 2 2 -2
54.2 deg, I 21, hkl 4 0 -4
55.3 deg, I 21, hkl 0 4 0

Structural model:
```
data_Na3Tl3CrO8
_space_group_name_H-M_alt 'C 1 2/m 1'
_space_group_IT_number 12
_space_group_name_Hall '-C 2y'
_cell_length_a 11.5110
_cell_length_b 6.6469
_cell_length_c 6.7751
_cell_angle_alpha 90.00
_cell_angle_beta 124.61
_cell_angle_gamma 90.00
loop_
_atom_site_label
_atom_site_fract_x
_atom_site_fract_y
_atom_site_fract_z
Na1 0.0000 0.0000 0.0000
Na2 0.2500 0.2500 0.0000
Tl1 0.0000 0.5000 0.5000
Tl2 0.2500 0.2500 0.5000
Cr1 0.0000 0.0000 0.5000
O1 0.0058 0.2170 0.3007
O2 0.2060 0.0000 0.6986
O3 0.2439 0.5000 0.7243
```